Cs2BaO2: computed PXRD pattern (copper Kα), based on a GGA-PBE-relaxed structure.

Crystal structure
Lattice parameters (Å, degrees): 11.505 7.051 7.357 90.00 90.00 90.00
Space group Pbcn (No. 60)
Symmetry-distinct sites (fractional):
Cs: 0.159 0.088 0.097 x8
Ba: 0.000 0.473 0.750 x4
O: 0.106 0.307 0.475 x8

Most intense lines, 10° ≤ 2θ ≤ 90°, sorted by position:
25.26°, d 3.526, intensity 220, (0 2 0); 25.42°, d 3.504, intensity 368, (1 0 2); 26.46°, d 3.369, intensity 1000, (3 1 0); 28.07°, d 3.179, intensity 215, (0 2 1); 28.45°, d 3.138, intensity 369, (1 1 2); 28.81°, d 3.099, intensity 176, (2 0 2); 29.14°, d 3.064, intensity 533, (1 2 1); 31.53°, d 2.837, intensity 396, (2 1 2); 39.76°, d 2.267, intensity 194, (4 0 2); 43.37°, d 2.086, intensity 188, (2 3 1)